Theoretical X-ray powder pattern
Compound: LiScF2
Radiation: Cu Kα X-rays
Structure: a GGA-PBE-relaxed structure
Intensities are scaled so that the largest is 100.

Structural model:
Unit cell a=5.983 b=5.983 c=12.296 alpha=90.00 beta=90.00 gamma=90.00
Space group I4_1/amd (No. 141, origin choice 2)
Unique sites:
Li 0.000 0.000 0.000 [8 per cell]
Sc 0.000 0.000 0.500 [8 per cell]
F 0.000 0.000 0.315 [16 per cell]

Main lines, by angle (10 to 90 degrees two-theta):
2theta  I/Imax
16.48  100
29.05  17
34.30  30
39.62  17
42.74  39
54.26  28

=====

Theoretical X-ray powder pattern
Compound: CsUTiTe5
Radiation: Cu Kα X-rays
Structure: a GGA-PBE-relaxed structure
Intensities are scaled so that the largest is 100.

Structural model:
Unit cell a=6.191 b=8.562 c=10.342 alpha=90.00 beta=90.00 gamma=90.00
Space group Pmma (No. 51)
Unique sites:
Cs 0.250 0.000 0.214 [2 per cell]
U 0.250 0.500 0.670 [2 per cell]
Ti 0.000 0.500 0.000 [2 per cell]
Te 0.000 0.257 0.500 [4 per cell]
Te 0.250 0.260 0.890 [4 per cell]
Te 0.250 0.500 0.226 [2 per cell]

Main lines, by angle (10 to 90 degrees two-theta):
2theta  I/Imax
10.33  92
19.67  45
27.04  85
30.72  100
33.75  49
36.87  62

=====

Theoretical X-ray powder pattern
Compound: K2RbTaI6
Radiation: Cu Kα X-rays
Structure: a GGA-PBE-relaxed structure
Intensities are scaled so that the largest is 100.

Structural model:
Unit cell a=12.542 b=12.542 c=12.542 alpha=90.00 beta=90.00 gamma=90.00
Space group Fm-3m (No. 225)
Unique sites:
K 0.250 0.250 0.250 [8 per cell]
Rb 0.000 0.000 0.000 [4 per cell]
Ta 0.000 0.000 0.500 [4 per cell]
I 0.000 0.000 0.274 [24 per cell]

Main lines, by angle (10 to 90 degrees two-theta):
2theta  I/Imax
12.22  36
14.12  92
24.59  51
28.47  100
31.91  42
40.69  69

=====

Theoretical X-ray powder pattern
Compound: BaH2S5O6
Radiation: Cu Kα X-rays
Structure: a GGA-PBE-relaxed structure
Intensities are scaled so that the largest is 100.

Structural model:
Unit cell a=5.567 b=10.268 c=11.875 alpha=107.69 beta=95.04 gamma=90.10
Space group P-1 (No. 2)
Unique sites:
Ba 0.246 0.287 0.101 [2 per cell]
H 0.280 0.760 0.035 [2 per cell]
H 0.406 0.372 0.378 [2 per cell]
S 0.195 0.285 0.642 [2 per cell]
S 0.198 0.962 0.643 [2 per cell]
S 0.246 0.425 0.819 [2 per cell]
S 0.246 0.947 0.820 [2 per cell]
S 0.409 0.123 0.639 [2 per cell]
O 0.090 0.826 0.803 [2 per cell]
O 0.097 0.537 0.802 [2 per cell]
O 0.156 0.359 0.901 [2 per cell]
O 0.160 0.072 0.902 [2 per cell]
O 0.495 0.537 0.156 [2 per cell]
O 0.497 0.076 0.154 [2 per cell]

Main lines, by angle (10 to 90 degrees two-theta):
2theta  I/Imax
15.58  93
18.16  76
18.49  66
18.64  100
19.29  64
25.18  81

=====

Theoretical X-ray powder pattern
Compound: Bi3Te2S
Radiation: Cu Kα X-rays
Structure: a GGA-PBE-relaxed structure
Intensities are scaled so that the largest is 100.

Structural model:
Unit cell a=4.3786 b=4.3786 c=24.5876 alpha=90.00 beta=90.00 gamma=120.00
Space group P-3m1 (No. 164)
Unique sites:
Bi 0.0000 0.0000 0.1166 [2 per cell]
Bi 0.3333 0.6667 0.2875 [2 per cell]
Bi 0.3333 0.6667 0.5352 [2 per cell]
Te 0.0000 0.0000 0.3607 [2 per cell]
Te 0.3333 0.6667 0.7966 [2 per cell]
S 0.3333 0.6667 0.0667 [2 per cell]

Main lines, by angle (10 to 90 degrees two-theta):
2theta  I/Imax
27.64  100
37.67  38
41.24  36
50.37  20
62.04  14
67.05  17

=====

Theoretical X-ray powder pattern
Compound: NdCo2Si2
Radiation: Cu Kα X-rays
Structure: a GGA-PBE-relaxed structure
Intensities are scaled so that the largest is 100.

Structural model:
Unit cell a=3.941 b=3.941 c=9.998 alpha=90.00 beta=90.00 gamma=90.00
Space group I4/mmm (No. 139)
Unique sites:
Nd 0.000 0.000 0.000 [2 per cell]
Co 0.000 0.500 0.250 [4 per cell]
Si 0.000 0.000 0.367 [4 per cell]

Main lines, by angle (10 to 90 degrees two-theta):
2theta  I/Imax
24.27  47
35.27  59
36.93  100
46.06  40
59.31  26
65.24  21

=====

Theoretical X-ray powder pattern
Compound: KCoCuS2
Radiation: Cu Kα X-rays
Structure: a GGA-PBE-relaxed structure
Intensities are scaled so that the largest is 100.

Structural model:
Unit cell a=3.820 b=3.820 c=12.991 alpha=90.00 beta=90.00 gamma=90.00
Space group I-4m2 (No. 119)
Unique sites:
K 0.000 0.000 0.000 [2 per cell]
Co 0.000 0.500 0.250 [2 per cell]
Cu 0.000 0.500 0.750 [2 per cell]
S 0.000 0.000 0.352 [4 per cell]

Main lines, by angle (10 to 90 degrees two-theta):
2theta  I/Imax
13.63  100
31.22  49
36.01  71
43.58  37
47.61  36
54.30  42

=====

Theoretical X-ray powder pattern
Compound: CeInCu5
Radiation: Cu Kα X-rays
Structure: a GGA-PBE-relaxed structure
Intensities are scaled so that the largest is 100.

Structural model:
Unit cell a=8.323 b=5.052 c=10.560 alpha=90.00 beta=90.00 gamma=90.00
Space group Pnma (No. 62)
Unique sites:
Ce 0.244 0.250 0.059 [4 per cell]
In 0.139 0.750 0.863 [4 per cell]
Cu 0.059 0.750 0.106 [4 per cell]
Cu 0.067 0.000 0.312 [8 per cell]
Cu 0.084 0.250 0.515 [4 per cell]
Cu 0.183 0.250 0.744 [4 per cell]

Main lines, by angle (10 to 90 degrees two-theta):
2theta  I/Imax
35.54  23
35.68  25
37.95  100
44.41  46
45.52  28
65.61  24